Starting from a DFT-relaxed cell (GGA-PBE, the Materials Project), the powder X-ray diffraction pattern of Na2SrMgP2O8 was simulated for copper Kα.

Crystal structure
a b c (Å): 13.675 5.328 9.268
angles (deg): 90.00 90.05 90.00
Atoms (fractional coordinates):
Na 0.089 0.012 0.342
Na 0.089 0.488 0.842
Na 0.410 0.509 0.178
Na 0.410 0.991 0.678
Na 0.590 0.009 0.322
Na 0.590 0.491 0.822
Na 0.911 0.512 0.158
Na 0.911 0.988 0.658
Sr 0.250 0.030 0.029
Sr 0.250 0.470 0.529
Sr 0.750 0.530 0.471
Sr 0.750 0.970 0.971
Mg 0.000 0.000 0.000
Mg 0.000 0.500 0.500
Mg 0.500 0.000 0.000
Mg 0.500 0.500 0.500
P 0.132 0.518 0.176
P 0.132 0.982 0.676
P 0.367 0.506 0.843
P 0.367 0.994 0.343
P 0.633 0.006 0.657
P 0.633 0.494 0.157
P 0.868 0.018 0.324
P 0.868 0.482 0.824
O 0.081 0.207 0.598
O 0.081 0.293 0.098
O 0.088 0.734 0.616
O 0.088 0.766 0.116
O 0.110 0.504 0.341
O 0.110 0.996 0.841
O 0.242 0.509 0.146
O 0.242 0.991 0.646
O 0.257 0.029 0.317
O 0.257 0.471 0.817
O 0.390 0.737 0.417
O 0.390 0.763 0.917
O 0.408 0.209 0.440
O 0.408 0.291 0.940
O 0.422 0.002 0.195
O 0.422 0.498 0.695
O 0.578 0.502 0.305
O 0.578 0.998 0.805
O 0.592 0.709 0.060
O 0.592 0.791 0.560
O 0.610 0.237 0.083
O 0.610 0.263 0.583
O 0.743 0.529 0.183
O 0.743 0.971 0.683
O 0.758 0.009 0.354
O 0.758 0.491 0.854
O 0.890 0.004 0.159
O 0.890 0.496 0.659
O 0.912 0.234 0.884
O 0.912 0.266 0.384
O 0.919 0.707 0.902
O 0.919 0.793 0.402

Peak list (12 most intense, 10 to 80 degrees two-theta, most intense first)
2θ 32.57, rel. 100
2θ 33.53, rel. 74
2θ 23.22, rel. 63
2θ 47.52, rel. 44
2θ 33.64, rel. 42
2θ 39.54, rel. 25
2θ 64.76, rel. 21
2θ 19.20, rel. 21
2θ 47.38, rel. 19
2θ 36.08, rel. 16
2θ 59.33, rel. 15
2θ 12.95, rel. 14